Computed powder XRD pattern
Compound: CuRe4Se7
Radiation: Cu Kα
Structure: a structure optimized by DFT (PBE)

Atomic structure:
```
24
Lattice="4.9854 0.0000 0.0000 0.0000 6.8855 0.0000 -4.9722 0.0000 17.7159" Properties=species:S:1:pos:R:3 pbc="T T T"
Cu 0.0000 0.9749 0.0000
Cu -2.4861 5.9106 8.8579
Re -1.5836 2.2399 6.5720
Re -4.0697 4.6456 15.4300
Re 0.0616 2.9489 4.2406
Re -2.4245 3.9365 13.0985
Re -1.5789 2.2387 11.1400
Re 0.9072 4.6468 2.2821
Re 0.0676 2.9480 13.4722
Re 2.5537 3.9374 4.6142
Se -1.9264 1.2887 8.8564
Se -4.4124 5.5968 17.7143
Se 0.4865 2.3068 1.9039
Se -1.9996 4.5787 10.7619
Se -1.9183 1.4716 13.4481
Se 0.5677 5.4138 4.5901
Se 0.7639 1.6404 6.2907
Se -1.7222 5.2451 15.1487
Se 0.7692 1.6404 11.4217
Se 3.2553 5.2451 2.5637
Se 3.0613 1.4725 4.2642
Se 0.5752 5.4130 13.1222
Se 0.4897 2.3069 15.8089
Se 2.9758 4.5785 6.9509
```

Top 6 peaks for 10 to 90 degrees two-theta, low angle first:
two_theta  I_rel  (hkl)
12.9  100  0 1 0
13.8  39  0 1 1
16.3  71  0 1 2
18.5  70  1 0 -2
33.0  34  0 2 4
40.7  44  0 0 8